# 1
The following is a simulated powder diffractogram of Ba2ZrPtN6. It was derived from a GGA-PBE-relaxed structure, using λ = 1.5418 Å (Cu Kα).
Lines closer than 0.1° are merged.

a = 10.233 Å, b = 5.907 Å, c = 5.910 Å
α = 90.00°, β = 125.27°, γ = 90.00°
Space group C2/m (No. 12)
Asymmetric unit:
1 Ba 0.250 0.000 0.250 x4
2 Zr 0.000 0.000 0.500 x2
3 Pt 0.000 0.500 0.000 x2
4 N 0.002 0.258 0.244 x8
5 N 0.242 0.500 0.237 x4

Peak list (10 most intense, 2θ from 10° to 90°, by angle)
- 2θ 18.39, 4.824 Å, intensity 8
- 2θ 30.25, 2.954 Å, intensity 100
- 2θ 35.64, 2.519 Å, intensity 4
- 2θ 43.31, 2.089 Å, intensity 27
- 2θ 47.43, 1.917 Å, intensity 2
- 2θ 53.74, 1.706 Å, intensity 40
- 2θ 62.92, 1.477 Å, intensity 17
- 2θ 71.40, 1.321 Å, intensity 18
- 2θ 79.47, 1.206 Å, intensity 6
- 2θ 87.33, 1.117 Å, intensity 22

---

# 2
The following is a simulated powder diffractogram of Ba2TaTl3N4. It was derived from a GGA-PBE-relaxed structure, using λ = 1.5418 Å (Cu Kα).
Lines closer than 0.1° are merged.

a = 11.477 Å, b = 7.722 Å, c = 11.664 Å
α = 90.00°, β = 111.21°, γ = 90.00°
Space group C2/c (No. 15)
Asymmetric unit:
1 Ba 0.181 0.054 0.074 x8
2 Ta 0.000 0.041 0.750 x4
3 Tl 0.000 0.350 0.250 x4
4 Tl 0.121 0.417 0.595 x8
5 N 0.021 0.162 0.610 x8
6 N 0.144 0.114 0.319 x8

Peak list (10 most intense, 2θ from 10° to 90°, by angle)
- 2θ 23.03, 3.861 Å, intensity 37
- 2θ 27.03, 3.299 Å, intensity 34
- 2θ 27.29, 3.268 Å, intensity 98
- 2θ 27.94, 3.194 Å, intensity 100
- 2θ 31.04, 2.881 Å, intensity 62
- 2θ 31.48, 2.842 Å, intensity 32
- 2θ 33.92, 2.643 Å, intensity 65
- 2θ 36.01, 2.494 Å, intensity 23
- 2θ 54.48, 1.684 Å, intensity 25
- 2θ 56.36, 1.632 Å, intensity 28

---

# 3
The following is a simulated powder diffractogram of Ba3TbN3. It was derived from a GGA-PBE-relaxed structure, using λ = 1.5418 Å (Cu Kα).
Lines closer than 0.1° are merged.

a = 8.4754 Å, b = 8.4754 Å, c = 5.8214 Å
α = 90.00°, β = 90.00°, γ = 120.00°
Space group P6_3/m (No. 176)
Asymmetric unit:
1 Ba 0.0814 0.3408 0.2500 x6
2 Tb 0.3333 0.6667 0.7500 x2
3 N 0.1044 0.3780 0.7500 x6

Peak list (10 most intense, 2θ from 10° to 90°, by angle)
- 2θ 24.25, 3.670 Å, intensity 30
- 2θ 26.01, 3.426 Å, intensity 64
- 2θ 28.76, 3.105 Å, intensity 100
- 2θ 30.72, 2.911 Å, intensity 46
- 2θ 32.27, 2.774 Å, intensity 25
- 2θ 36.73, 2.447 Å, intensity 26
- 2θ 48.61, 1.873 Å, intensity 24
- 2θ 53.43, 1.715 Å, intensity 24
- 2θ 55.05, 1.668 Å, intensity 22
- 2θ 56.93, 1.618 Å, intensity 24

---

What did the third record say?
The following is a simulated powder diffractogram of Ba3TbN3. It was derived from a GGA-PBE-relaxed structure, using λ = 1.5418 Å (Cu Kα).
Lines closer than 0.1° are merged.

a = 8.4754 Å, b = 8.4754 Å, c = 5.8214 Å
α = 90.00°, β = 90.00°, γ = 120.00°
Space group P6_3/m (No. 176)
Asymmetric unit:
1 Ba 0.0814 0.3408 0.2500 x6
2 Tb 0.3333 0.6667 0.7500 x2
3 N 0.1044 0.3780 0.7500 x6

Peak list (10 most intense, 2θ from 10° to 90°, by angle)
- 2θ 24.25, 3.670 Å, intensity 30
- 2θ 26.01, 3.426 Å, intensity 64
- 2θ 28.76, 3.105 Å, intensity 100
- 2θ 30.72, 2.911 Å, intensity 46
- 2θ 32.27, 2.774 Å, intensity 25
- 2θ 36.73, 2.447 Å, intensity 26
- 2θ 48.61, 1.873 Å, intensity 24
- 2θ 53.43, 1.715 Å, intensity 24
- 2θ 55.05, 1.668 Å, intensity 22
- 2θ 56.93, 1.618 Å, intensity 24